NaSc3Se4O12: computed X-ray diffraction stick pattern (λ = 1.5418 Å (Cu Kα)), based on a GGA-PBE-relaxed structure.
Neutral-atom scattering factors, no anomalous dispersion.

Cell and atoms:
```
data_NaSc3Se4O12
_chemical_formula_sum 'Na3 Sc9 Se12 O36'
_cell_length_a 11.8638
_cell_length_b 11.8638
_cell_length_c 7.8868
_cell_angle_alpha 90.00
_cell_angle_beta 90.00
_cell_angle_gamma 120.00
_symmetry_space_group_name_H-M 'R 3 2'
_symmetry_Int_Tables_number 155
_symmetry_space_group_name_Hall 'R 3 2"'
loop_
_atom_site_label
_atom_site_type_symbol
_atom_site_fract_x
_atom_site_fract_y
_atom_site_fract_z
Na1 Na 0.0000 0.0000 0.0000
Sc1 Sc 0.0000 0.5717 0.0000
Se1 Se 0.0000 0.0000 0.5000
Se2 Se 0.0000 0.4320 0.5000
O1 O 0.0000 0.6205 0.5000
O2 O 0.0000 0.8404 0.5000
O3 O 0.0567 0.2535 0.1699
```

Most intense lines, 10 to 90 degrees two-theta, by angle:
5.932 Å, I 27, hkl 1 1 0; 4.305 Å, I 27, hkl 0 2 1; 3.484 Å, I 69, hkl 2 1 1; 3.425 Å, I 26, hkl 3 0 0; 3.128 Å, I 100, hkl 2 0 2; 2.680 Å, I 33, hkl 1 3 1; 2.403 Å, I 23, hkl 1 1 3; 1.645 Å, I 27, hkl 5 2 0

=====

Na3ScSi2O7: computed X-ray diffraction stick pattern (λ = 1.5418 Å (Cu Kα)), based on a GGA-PBE-relaxed structure.
Neutral-atom scattering factors, no anomalous dispersion.

Cell and atoms:
```
data_Na3ScSi2O7
_chemical_formula_sum 'Na12 Sc4 Si8 O28'
_cell_length_a 9.4551
_cell_length_b 13.2235
_cell_length_c 5.4001
_cell_angle_alpha 90.00
_cell_angle_beta 90.00
_cell_angle_gamma 90.00
_symmetry_space_group_name_H-M 'P n m a'
_symmetry_Int_Tables_number 62
loop_
_symmetry_equiv_pos_as_xyz
'x,y,z'
'-x,-y,-z'
'-x+1/2,-y,z+1/2'
'x+1/2,y,-z+1/2'
'x+1/2,-y+1/2,-z+1/2'
'-x+1/2,y+1/2,z+1/2'
'-x,y+1/2,-z'
'x,-y+1/2,z'
loop_
_atom_site_label
_atom_site_type_symbol
_atom_site_fract_x
_atom_site_fract_y
_atom_site_fract_z
Na1 Na 0.0182 0.2500 0.0166
Na2 Na 0.1546 0.5926 0.5182
Sc1 Sc 0.0000 0.0000 0.0000
Si1 Si 0.1757 0.1316 0.5123
O1 O 0.0897 0.0596 0.3185
O2 O 0.1254 0.2500 0.4389
O3 O 0.1283 0.1076 0.7979
O4 O 0.1540 0.6192 0.9723
```

Most intense lines, 10 to 90 degrees two-theta, by angle:
6.612 Å, I 50, hkl 0 2 0; 4.452 Å, I 27, hkl 2 1 0; 4.420 Å, I 51, hkl 1 1 1; 2.722 Å, I 75, hkl 3 0 1; 2.706 Å, I 100, hkl 2 4 0; 2.700 Å, I 49, hkl 0 0 2; 2.070 Å, I 28, hkl 2 3 2; 1.912 Å, I 35, hkl 2 4 2

=====

Na3Sc3TaO8: computed X-ray diffraction stick pattern (λ = 1.5418 Å (Cu Kα)), based on a GGA-PBE-relaxed structure.
Neutral-atom scattering factors, no anomalous dispersion.

Cell and atoms:
```
data_Na3Sc3TaO8
_chemical_formula_sum 'Na9 Sc9 Ta3 O24'
_cell_length_a 6.3230
_cell_length_b 6.3230
_cell_length_c 16.7490
_cell_angle_alpha 90.00
_cell_angle_beta 90.00
_cell_angle_gamma 120.00
_symmetry_space_group_name_H-M 'R -3 m'
_symmetry_Int_Tables_number 166
_symmetry_space_group_name_Hall '-R 3 2"'
loop_
_atom_site_label
_atom_site_type_symbol
_atom_site_fract_x
_atom_site_fract_y
_atom_site_fract_z
Na1 Na 0.0000 0.5000 0.0000
Sc1 Sc 0.0000 0.5000 0.5000
Ta1 Ta 0.0000 0.0000 0.5000
O1 O 0.0000 0.0000 0.2349
O2 O 0.0176 0.5088 0.2320
```

Most intense lines, 10 to 90 degrees two-theta, by angle:
5.583 Å, I 100, hkl 0 0 3; 5.205 Å, I 80, hkl 1 0 1; 2.751 Å, I 30, hkl 1 1 3; 2.702 Å, I 29, hkl 0 2 1; 2.602 Å, I 35, hkl 2 0 2; 2.292 Å, I 92, hkl 0 2 4; 1.663 Å, I 27, hkl 2 0 8; 1.581 Å, I 26, hkl 2 2 0

=====

Na4Tm3ScO8: computed X-ray diffraction stick pattern (λ = 1.5418 Å (Cu Kα)), based on a GGA-PBE-relaxed structure.
Neutral-atom scattering factors, no anomalous dispersion.

Cell and atoms:
```
data_Na4Tm3ScO8
_chemical_formula_sum 'Na12 Tm9 Sc3 O24'
_cell_length_a 6.6419
_cell_length_b 6.6419
_cell_length_c 16.6306
_cell_angle_alpha 90.00
_cell_angle_beta 90.00
_cell_angle_gamma 120.00
_symmetry_space_group_name_H-M 'R -3 m'
_symmetry_Int_Tables_number 166
_symmetry_space_group_name_Hall '-R 3 2"'
loop_
_atom_site_label
_atom_site_type_symbol
_atom_site_fract_x
_atom_site_fract_y
_atom_site_fract_z
Na1 Na 0.0000 0.0000 0.0000
Na2 Na 0.0000 0.5000 0.0000
Tm1 Tm 0.0000 0.5000 0.5000
Sc1 Sc 0.0000 0.0000 0.5000
O1 O 0.0000 0.0000 0.2365
O2 O 0.0089 0.5044 0.2354
```

Most intense lines, 10 to 90 degrees two-theta, by angle:
5.544 Å, I 100, hkl 0 0 3; 2.834 Å, I 46, hkl 0 2 1; 2.772 Å, I 21, hkl 0 0 6; 2.718 Å, I 57, hkl 2 0 2; 2.365 Å, I 87, hkl 0 2 4; 1.685 Å, I 27, hkl 2 0 8; 1.660 Å, I 28, hkl 2 2 0; 1.591 Å, I 20, hkl 2 2 3